Record 1
This entry pairs a crystal structure of La12Ge5S28 with its theoretical X-ray powder pattern. Radiation: Cu Kα (weighted mean of Kα1 and Kα2). Structure: a cell relaxed with GGA-PBE.

Crystal structure
a b c (Å): 10.365 11.769 11.913
angles (deg): 60.40 64.22 90.00
Space group P1 (No. 1)
Asymmetric unit:
La  0.000  0.000  0.000
La  0.003  0.478  0.015
La  0.248  0.020  0.461
La  0.258  0.500  0.471
La  0.350  0.304  0.893
La  0.360  0.800  0.871
La  0.473  0.428  0.115
La  0.489  0.946  0.109
La  0.761  0.552  0.368
La  0.782  0.071  0.358
La  0.891  0.700  0.601
La  0.903  0.194  0.583
Ge  0.126  0.756  0.237
Ge  0.459  0.666  0.572
Ge  0.460  0.165  0.569
Ge  0.791  0.251  0.904
Ge  0.795  0.751  0.904
S  0.016  0.252  0.751
S  0.022  0.744  0.763
S  0.036  0.214  0.069
S  0.042  0.719  0.090
S  0.207  0.792  0.390
S  0.219  0.299  0.404
S  0.233  0.017  0.717
S  0.233  0.518  0.715
S  0.279  0.985  0.004
S  0.293  0.511  0.978
S  0.356  0.688  0.153
S  0.385  0.174  0.146
S  0.457  0.349  0.578
S  0.463  0.857  0.563
S  0.540  0.705  0.344
S  0.541  0.202  0.344
S  0.604  0.050  0.653
S  0.606  0.550  0.650
S  0.641  0.711  0.833
S  0.652  0.218  0.816
S  0.711  0.562  0.129
S  0.715  0.062  0.131
S  0.792  0.437  0.906
S  0.794  0.938  0.902
S  0.868  0.336  0.329
S  0.893  0.828  0.318
S  0.958  0.999  0.496
S  0.980  0.532  0.467

Peak list (12 most intense, 10° ≤ 2θ ≤ 80°, in order of rising 2θ)
hkl 2 0 2, 19.79°, d 4.487, intensity 32
hkl -1 2 2, 22.87°, d 3.888, intensity 33
hkl 2 2 1, 24.96°, d 3.568, intensity 100
hkl 1 0 3, 26.28°, d 3.392, intensity 20
hkl 0 4 2, 30.39°, d 2.941, intensity 26
hkl 4 0 2, 34.63°, d 2.590, intensity 35
hkl 3 0 -1, 36.09°, d 2.489, intensity 37
hkl 2 4 4, 36.52°, d 2.460, intensity 32
hkl 4 -2 0, 39.31°, d 2.292, intensity 33
hkl 1 4 5, 40.59°, d 2.222, intensity 25
hkl 4 4 4, 46.73°, d 1.944, intensity 22
hkl -4 4 1, 47.87°, d 1.900, intensity 20


Record 2
This entry pairs a crystal structure of CsMg6BO8 with its theoretical X-ray powder pattern. Radiation: Cu Kα (weighted mean of Kα1 and Kα2). Structure: a cell relaxed with GGA-PBE.

Crystal structure
a b c (Å): 4.411 4.411 9.664
angles (deg): 90.00 90.00 90.00
Space group P4/mmm (No. 123)
Asymmetric unit:
Cs  0.000  0.000  0.000
Mg  0.000  0.000  0.500
Mg  0.000  0.500  0.284
Mg  0.500  0.500  0.500
B  0.500  0.500  0.000
O  0.000  0.000  0.289
O  0.000  0.500  0.000
O  0.000  0.500  0.500
O  0.500  0.500  0.277

Peak list (12 most intense, 10° ≤ 2θ ≤ 80°, in order of rising 2θ)
hkl 0 0 2, 18.36°, d 4.832, intensity 24
hkl 1 0 0, 20.13°, d 4.411, intensity 52
hkl 1 0 1, 22.15°, d 4.012, intensity 79
hkl 1 0 2, 27.38°, d 3.258, intensity 51
hkl 0 0 3, 27.69°, d 3.221, intensity 30
hkl 1 1 1, 30.11°, d 2.968, intensity 23
hkl 1 1 2, 34.22°, d 2.620, intensity 45
hkl 1 0 3, 34.48°, d 2.601, intensity 30
hkl 0 0 4, 37.22°, d 2.416, intensity 50
hkl 2 0 0, 40.92°, d 2.205, intensity 100
hkl 2 0 4, 56.50°, d 1.629, intensity 52
hkl 2 2 0, 59.26°, d 1.559, intensity 30


Record 3
This entry pairs a crystal structure of Sm3Co4Ge13 with its theoretical X-ray powder pattern. Radiation: Cu Kα (weighted mean of Kα1 and Kα2). Structure: a cell relaxed with GGA-PBE.

Crystal structure
a b c (Å): 8.858 8.858 8.858
angles (deg): 90.00 90.00 90.00
Space group Pm-3n (No. 223)
Asymmetric unit:
Sm  0.000  0.250  0.500
Co  0.250  0.250  0.250
Ge  0.000  0.000  0.000
Ge  0.000  0.301  0.153

Peak list (12 most intense, 10° ≤ 2θ ≤ 80°, in order of rising 2θ)
hkl 2 1 0, 22.44°, d 3.962, intensity 12
hkl 2 2 2, 35.09°, d 2.557, intensity 8
hkl 3 2 0, 36.57°, d 2.457, intensity 100
hkl 3 2 1, 38.01°, d 2.368, intensity 37
hkl 4 0 0, 40.74°, d 2.215, intensity 25
hkl 4 1 0, 42.06°, d 2.148, intensity 10
hkl 4 2 2, 50.47°, d 1.808, intensity 10
hkl 4 3 2, 55.89°, d 1.645, intensity 9
hkl 4 3 3, 60.99°, d 1.519, intensity 12
hkl 5 3 2, 64.89°, d 1.437, intensity 15
hkl 6 2 2, 70.52°, d 1.335, intensity 14
hkl 6 4 1, 78.63°, d 1.217, intensity 8


Record 4
This entry pairs a crystal structure of Ba4TiSi12Sn3O36 with its theoretical X-ray powder pattern. Radiation: Cu Kα (weighted mean of Kα1 and Kα2). Structure: a cell relaxed with GGA-PBE.

Crystal structure
a b c (Å): 6.8031 6.8031 19.9518
angles (deg): 90.00 90.00 120.00
Space group P312 (No. 149)
Asymmetric unit:
Ba  0.0000  0.0000  0.0000
Ba  0.0000  0.0000  0.2499
Ba  0.0000  0.0000  0.5000
Ti  0.3333  0.6667  0.0000
Si  0.4490  0.0480  0.1237
Si  0.4489  0.0504  0.6250
Sn  0.3333  0.6667  0.2495
Sn  0.3333  0.6667  0.5000
O  0.0857  0.4081  0.1921
O  0.0859  0.4083  0.5570
O  0.0861  0.4086  0.6931
O  0.0968  0.4241  0.0563
O  0.4163  0.1396  0.3750
O  0.4160  0.1415  0.8763

Peak list (12 most intense, 10° ≤ 2θ ≤ 80°, in order of rising 2θ)
hkl 1 0 0, 15.04°, d 5.892, intensity 31
hkl 1 0 4, 23.37°, d 3.807, intensity 90
hkl 1 1 0, 26.20°, d 3.402, intensity 28
hkl 2 0 0, 30.34°, d 2.946, intensity 20
hkl 1 1 4, 31.84°, d 2.810, intensity 100
hkl 2 1 0, 40.51°, d 2.227, intensity 16
hkl 1 1 8, 45.08°, d 2.011, intensity 27
hkl 3 0 0, 46.23°, d 1.964, intensity 17
hkl 2 0 8, 47.78°, d 1.903, intensity 15
hkl 3 0 4, 49.91°, d 1.827, intensity 21
hkl 3 -1 8, 55.30°, d 1.661, intensity 15
hkl 2 -1 12, 62.14°, d 1.494, intensity 16


Record 5
This entry pairs a crystal structure of ScHO2 with its theoretical X-ray powder pattern. Radiation: Cu Kα (weighted mean of Kα1 and Kα2). Structure: a cell relaxed with GGA-PBE.

Crystal structure
a b c (Å): 3.277 13.031 4.050
angles (deg): 90.00 90.00 90.00
Space group Cmc2_1 (No. 36)
Asymmetric unit:
Sc  0.000  0.176  0.000
H  0.000  0.484  0.314
O  0.000  0.216  0.500
O  0.000  0.431  0.493

Peak list (12 most intense, 10° ≤ 2θ ≤ 80°, in order of rising 2θ)
hkl 0 2 0, 13.59°, d 6.516, intensity 100
hkl 0 2 1, 25.90°, d 3.440, intensity 85
hkl 1 3 0, 34.28°, d 2.616, intensity 79
hkl 1 1 1, 35.92°, d 2.500, intensity 11
hkl 1 5 0, 44.41°, d 2.040, intensity 29
hkl 0 0 2, 44.75°, d 2.025, intensity 28
hkl 1 5 1, 50.07°, d 1.822, intensity 35
hkl 2 0 0, 56.14°, d 1.638, intensity 13
hkl 1 3 2, 57.55°, d 1.601, intensity 27
hkl 1 7 1, 61.71°, d 1.503, intensity 13
hkl 2 2 1, 62.81°, d 1.479, intensity 13
hkl 1 5 2, 64.88°, d 1.437, intensity 16